The following is a theoretical powder XRD pattern of RbVP2O7. It was derived from a DFT-relaxed cell (PBE+U, Alexandria), using copper Kα.
Neutral-atom scattering factors, no anomalous dispersion.

Structural model:
```
data_RbVP2O7
_space_group_name_H-M_alt 'P 1 21/c 1'
_space_group_IT_number 14
_cell_length_a 7.654
_cell_length_b 10.234
_cell_length_c 8.403
_cell_angle_alpha 90.00
_cell_angle_beta 105.95
_cell_angle_gamma 90.00
loop_
_space_group_symop_operation_xyz
'x,y,z'
'-x,-y,-z'
'-x,y+1/2,-z+1/2'
'x,-y+1/2,z+1/2'
loop_
_atom_site_label
_atom_site_fract_x
_atom_site_fract_y
_atom_site_fract_z
Rb1 0.187 0.184 0.053
V1 0.239 0.601 0.259
P1 0.132 0.597 0.830
P2 0.435 0.632 0.687
O1 0.006 0.002 0.775
O2 0.087 0.737 0.761
O3 0.151 0.589 0.013
O4 0.326 0.603 0.510
O5 0.328 0.556 0.804
O6 0.374 0.073 0.766
O7 0.447 0.723 0.237
```

Most intense lines, 10° ≤ 2θ ≤ 90°, by angle:
| d/Å | I/Imax |
| --- | --- |
| 4.040 | 283 |
| 3.509 | 354 |
| 3.171 | 312 |
| 3.095 | 459 |
| 3.046 | 1000 |
| 3.031 | 768 |